Entry 1:
Structure and theoretical XRD peak list of CaTl4Hg12 (a crystal structure in Alexandria, relaxed with GGA-PBE; Cu Ka).
No peak broadening, texture or thermal motion is included.

The 10 most intense peaks (5° ≤ 2θ ≤ 70°), sorted by position:
- 2θ 12.58, I = 8.0
- 2θ 31.13, I = 100.0
- 2θ 36.10, I = 52.2
- 2θ 38.37, I = 13.0
- 2θ 42.61, I = 11.2
- 2θ 51.98, I = 29.1
- 2θ 60.27, I = 8.1
- 2θ 61.84, I = 29.4
- 2θ 64.92, I = 7.5
- 2θ 69.40, I = 9.1

Crystal structure
```
CaTl4Hg12
1.0
-4.976 4.976 4.976
4.976 -4.976 4.976
4.976 4.976 -4.976
Ca Tl Hg
1 4 12
direct
0.000 0.000 0.000 Ca
0.000 0.000 0.500 Tl
0.000 0.500 0.000 Tl
0.500 0.000 0.000 Tl
0.500 0.500 0.500 Tl
0.000 0.307 0.307 Hg
0.000 0.693 0.693 Hg
0.250 0.500 0.750 Hg
0.250 0.750 0.500 Hg
0.307 0.000 0.307 Hg
0.307 0.307 0.000 Hg
0.500 0.250 0.750 Hg
0.500 0.750 0.250 Hg
0.693 0.000 0.693 Hg
0.693 0.693 0.000 Hg
0.750 0.250 0.500 Hg
0.750 0.500 0.250 Hg
```

Entry 2:
Structure and theoretical XRD peak list of Ca3Tl2Hg2 (a crystal structure in Alexandria, relaxed with GGA-PBE; Cu Ka).
No peak broadening, texture or thermal motion is included.

The 10 most intense peaks (5° ≤ 2θ ≤ 70°), sorted by position:
- 2θ 7.42, I = 23.8
- 2θ 19.86, I = 52.4
- 2θ 24.16, I = 59.4
- 2θ 31.47, I = 79.4
- 2θ 32.85, I = 100.0
- 2θ 33.20, I = 55.5
- 2θ 39.60, I = 32.1
- 2θ 41.20, I = 62.4
- 2θ 59.89, I = 25.0
- 2θ 60.68, I = 34.6

Crystal structure
```
Ca3Tl2Hg2
1.0
2.276 -11.916 0.000
2.276 11.916 0.000
0.000 0.000 3.683
Ca Tl Hg
3 2 2
direct
0.000 0.000 0.000 Ca
0.157 0.843 0.000 Ca
0.843 0.157 0.000 Ca
0.423 0.577 0.500 Tl
0.577 0.423 0.500 Tl
0.287 0.713 0.500 Hg
0.713 0.287 0.500 Hg
```

Entry 3:
Structure and theoretical XRD peak list of Ca2Tl8Hg (a crystal structure in Alexandria, relaxed with GGA-PBE; Cu Ka).
No peak broadening, texture or thermal motion is included.

The 10 most intense peaks (5° ≤ 2θ ≤ 70°), sorted by position:
- 2θ 21.25, I = 36.2
- 2θ 29.16, I = 69.0
- 2θ 29.70, I = 99.2
- 2θ 30.88, I = 100.0
- 2θ 32.33, I = 89.6
- 2θ 32.77, I = 67.0
- 2θ 35.07, I = 93.5
- 2θ 37.11, I = 45.7
- 2θ 37.48, I = 53.9
- 2θ 37.87, I = 41.0

Crystal structure
```
Ca2Tl8Hg
1.0
7.582 -3.187 0.000
7.582 3.187 0.000
-2.519 0.000 6.938
Ca Tl Hg
2 8 1
direct
0.167 0.167 0.301 Ca
0.833 0.833 0.699 Ca
0.182 0.667 0.115 Tl
0.245 0.245 0.789 Tl
0.333 0.818 0.885 Tl
0.395 0.395 0.532 Tl
0.605 0.605 0.468 Tl
0.667 0.182 0.115 Tl
0.755 0.755 0.211 Tl
0.818 0.333 0.885 Tl
0.000 0.000 0.500 Hg
```

Entry 4:
Structure and theoretical XRD peak list of CaTlHg (a crystal structure in Alexandria, relaxed with GGA-PBE; Cu Ka).
No peak broadening, texture or thermal motion is included.

The 10 most intense peaks (5° ≤ 2θ ≤ 70°), sorted by position:
- 2θ 20.91, I = 42.0
- 2θ 24.34, I = 48.0
- 2θ 30.85, I = 100.0
- 2θ 33.70, I = 28.1
- 2θ 34.05, I = 91.0
- 2θ 37.88, I = 41.1
- 2θ 38.80, I = 39.4
- 2θ 41.16, I = 31.0
- 2θ 45.55, I = 30.9
- 2θ 60.90, I = 34.4

Crystal structure
```
CaTlHg
1.0
1.864 -9.492 0.000
1.864 9.492 0.000
0.000 0.000 4.750
Ca Tl Hg
2 2 2
direct
0.123 0.877 0.750 Ca
0.877 0.123 0.250 Ca
0.452 0.548 0.750 Tl
0.548 0.452 0.250 Tl
0.289 0.711 0.750 Hg
0.711 0.289 0.250 Hg
```

Q: Which formula does entry 4 have?
A: CaTlHg

Q: Which formula does entry 1 have?
A: CaTl4Hg12

Q: Number 2 is which compound?
A: Ca3Tl2Hg2

Q: Which formula does entry 4 have?
A: CaTlHg